The following is a simulated powder diffractogram of Tm6GaRu2. It was derived from a structure optimized by DFT (GGA-PBE), using Cu Kα.

Atomic structure:
a = 8.288 Å, b = 8.288 Å, c = 8.288 Å
α = 113.02°, β = 112.61°, γ = 102.98°
Fractional positions:
Tm (0.044, 0.243, 0.801)
Tm (0.180, 0.285, 0.464)
Tm (0.180, 0.715, 0.895)
Tm (0.334, 0.023, 0.689)
Tm (0.334, 0.645, 0.311)
Tm (0.441, 0.243, 0.199)
Tm (0.559, 0.757, 0.801)
Tm (0.666, 0.355, 0.689)
Tm (0.666, 0.977, 0.311)
Tm (0.820, 0.285, 0.105)
Tm (0.820, 0.715, 0.536)
Tm (0.956, 0.757, 0.199)
Ga (0.000, 0.000, 0.000)
Ga (0.500, 0.500, 0.000)
Ru (0.133, 0.633, 0.500)
Ru (0.320, 0.000, 0.320)
Ru (0.680, 0.000, 0.680)
Ru (0.867, 0.367, 0.500)

Largest 8 diffraction maxima, low angle first, 10° ≤ 2θ ≤ 90°:
2theta  I_rel
26.03  32
32.61  87
34.04  61
35.45  73
36.37  100
39.49  33
40.08  45
61.73  34


The following is a simulated powder diffractogram of TmGa6Ru4. It was derived from a structure optimized by DFT (GGA-PBE), using Cu Kα.

Atomic structure:
a = 6.597 Å, b = 6.597 Å, c = 6.597 Å
α = 120.96°, β = 120.96°, γ = 88.35°
Fractional positions:
Tm (0.000, 0.000, 0.000)
Ga (0.000, 0.500, 0.500)
Ga (0.109, 0.474, 0.000)
Ga (0.474, 0.109, 0.000)
Ga (0.500, 0.000, 0.500)
Ga (0.526, 0.526, 0.634)
Ga (0.891, 0.891, 0.366)
Ru (0.251, 0.251, 0.662)
Ru (0.411, 0.749, 0.000)
Ru (0.589, 0.589, 0.338)
Ru (0.749, 0.411, 0.000)

Largest 8 diffraction maxima, low angle first, 10° ≤ 2θ ≤ 90°:
2theta  I_rel
18.75  38
32.21  80
33.44  61
39.19  45
42.27  100
42.81  81
43.00  55
66.27  34


The following is a simulated powder diffractogram of Tm4Ga6Ru7. It was derived from a structure optimized by DFT (GGA-PBE), using Cu Kα.

Atomic structure:
a = 7.223 Å, b = 7.223 Å, c = 7.223 Å
α = 109.47°, β = 109.47°, γ = 109.47°
Fractional positions:
Tm (0.000, 0.000, 0.500)
Tm (0.000, 0.500, 0.000)
Tm (0.500, 0.000, 0.000)
Tm (0.500, 0.500, 0.500)
Ga (0.000, 0.309, 0.309)
Ga (0.000, 0.691, 0.691)
Ga (0.309, 0.000, 0.309)
Ga (0.309, 0.309, 0.000)
Ga (0.691, 0.000, 0.691)
Ga (0.691, 0.691, 0.000)
Ru (0.000, 0.000, 0.000)
Ru (0.250, 0.500, 0.750)
Ru (0.250, 0.750, 0.500)
Ru (0.500, 0.250, 0.750)
Ru (0.500, 0.750, 0.250)
Ru (0.750, 0.250, 0.500)
Ru (0.750, 0.500, 0.250)

Largest 8 diffraction maxima, low angle first, 10° ≤ 2θ ≤ 90°:
2theta  I_rel
30.31  28
37.35  100
40.47  16
43.40  62
51.38  11
63.05  34
75.63  28
79.64  10